# Ca2HoS3
Computed XRD peak list, Cu Kα, 1.54184 Å. Input: a DFT-relaxed cell (PBE, Alexandria).
Intensities are scaled so that the largest is 100.

Structure:
a b c (Å): 13.162 12.551 6.883
angles (deg): 79.44 69.62 30.94
Positions (direct):
1 Ca 0.042 0.042 0.208
2 Ca 0.124 0.124 0.626
3 Ca 0.208 0.208 0.042
4 Ca 0.374 0.374 0.876
5 Ca 0.626 0.626 0.124
6 Ca 0.792 0.792 0.958
7 Ca 0.876 0.876 0.374
8 Ca 0.958 0.958 0.792
9 Ho 0.292 0.292 0.458
10 Ho 0.458 0.458 0.292
11 Ho 0.542 0.542 0.708
12 Ho 0.708 0.708 0.542
13 S 0.040 0.541 0.217
14 S 0.132 0.618 0.618
15 S 0.217 0.703 0.040
16 S 0.297 0.783 0.459
17 S 0.382 0.868 0.868
18 S 0.459 0.960 0.297
19 S 0.541 0.040 0.703
20 S 0.618 0.132 0.132
21 S 0.703 0.217 0.541
22 S 0.783 0.297 0.960
23 S 0.868 0.382 0.382
24 S 0.960 0.459 0.783

Peak list (10 most intense, 2θ from 10° to 90°, by angle)
d_spacing	two_theta	I (rel.)
6.265	14.1	42
3.840	23.2	13
3.244	27.5	34
2.809	31.9	100
1.987	45.7	58
1.984	45.7	12
1.694	54.1	17
1.623	56.7	12
1.620	56.8	12
1.256	75.7	25

***

# Ca3YHo3S8
Computed XRD peak list, Cu Kα, 1.54184 Å. Input: a DFT-relaxed cell (PBE, Alexandria).
Intensities are scaled so that the largest is 100.

Structure:
a b c (Å): 7.956 7.956 7.956
angles (deg): 59.14 59.14 59.14
Positions (direct):
1 Ca 0.000 0.500 0.500
2 Ca 0.500 0.000 0.500
3 Ca 0.500 0.500 0.000
4 Y 0.500 0.500 0.500
5 Ho 0.000 0.000 0.500
6 Ho 0.000 0.500 0.000
7 Ho 0.500 0.000 0.000
8 S 0.246 0.746 0.746
9 S 0.247 0.247 0.247
10 S 0.254 0.254 0.754
11 S 0.254 0.754 0.254
12 S 0.746 0.246 0.746
13 S 0.746 0.746 0.246
14 S 0.753 0.753 0.753
15 S 0.754 0.254 0.254

Peak list (10 most intense, 2θ from 10° to 90°, by angle)
d_spacing	two_theta	I (rel.)
6.539	13.5	59
3.350	26.6	33
3.213	27.8	29
2.794	32.0	100
2.569	34.9	15
1.989	45.6	36
1.963	46.2	34
1.880	48.4	15
1.606	57.4	18
1.256	75.7	15

***

# CaTbHo2Sb4
Computed XRD peak list, Cu Kα, 1.54184 Å. Input: a DFT-relaxed cell (PBE, Alexandria).
Intensities are scaled so that the largest is 100.

Structure:
a b c (Å): 7.646 6.237 7.644
angles (deg): 65.94 48.14 65.92
Positions (direct):
1 Ca 0.000 0.000 0.000
2 Tb 0.500 0.500 0.500
3 Ho 0.251 0.251 0.249
4 Ho 0.751 0.751 0.749
5 Sb 0.000 0.500 0.000
6 Sb 0.254 0.747 0.253
7 Sb 0.500 0.000 0.500
8 Sb 0.747 0.254 0.746

Peak list (10 most intense, 2θ from 10° to 90°, by angle)
d_spacing	two_theta	I (rel.)
6.245	14.2	3
5.580	15.9	7
3.120	28.6	100
2.722	32.9	3
2.206	40.9	76
1.801	50.7	27
1.560	59.2	13
1.395	67.1	35
1.274	74.5	25
1.103	88.7	7

***

# Ca3Ho5Se8
Computed XRD peak list, Cu Kα, 1.54184 Å. Input: a DFT-relaxed cell (PBE, Alexandria).
Intensities are scaled so that the largest is 100.

Structure:
a b c (Å): 8.225 8.225 8.225
angles (deg): 59.62 59.62 59.62
Positions (direct):
1 Ca 0.000 0.500 0.500
2 Ca 0.500 0.000 0.500
3 Ca 0.500 0.500 0.000
4 Ho 0.000 0.000 0.000
5 Ho 0.000 0.000 0.500
6 Ho 0.000 0.500 0.000
7 Ho 0.500 0.000 0.000
8 Ho 0.500 0.500 0.500
9 Se 0.247 0.750 0.750
10 Se 0.248 0.248 0.248
11 Se 0.250 0.250 0.753
12 Se 0.250 0.753 0.250
13 Se 0.750 0.247 0.750
14 Se 0.750 0.750 0.247
15 Se 0.752 0.752 0.752
16 Se 0.753 0.250 0.250

Peak list (10 most intense, 2θ from 10° to 90°, by angle)
d_spacing	two_theta	I (rel.)
6.734	13.1	13
3.489	25.5	10
2.899	30.8	100
2.056	44.0	37
2.044	44.3	36
1.671	55.0	19
1.450	64.3	12
1.300	72.8	16
1.294	73.2	16
1.183	81.4	12

***

# CaHo4Tm3Se8
Computed XRD peak list, Cu Kα, 1.54184 Å. Input: a DFT-relaxed cell (PBE, Alexandria).
Intensities are scaled so that the largest is 100.

Structure:
a b c (Å): 8.118 8.118 8.118
angles (deg): 59.84 59.84 59.84
Positions (direct):
1 Ca 0.000 0.000 0.000
2 Ho 0.000 0.000 0.500
3 Ho 0.000 0.500 0.000
4 Ho 0.500 0.000 0.000
5 Ho 0.500 0.500 0.500
6 Tm 0.000 0.500 0.500
7 Tm 0.500 0.000 0.500
8 Tm 0.500 0.500 0.000
9 Se 0.251 0.251 0.251
10 Se 0.251 0.251 0.747
11 Se 0.251 0.747 0.251
12 Se 0.253 0.749 0.749
13 Se 0.747 0.251 0.251
14 Se 0.749 0.253 0.749
15 Se 0.749 0.749 0.253
16 Se 0.749 0.749 0.749

Peak list (10 most intense, 2θ from 10° to 90°, by angle)
d_spacing	two_theta	I (rel.)
3.310	26.9	18
2.867	31.2	100
2.029	44.7	37
2.024	44.8	37
1.728	53.0	7
1.654	55.6	19
1.433	65.1	12
1.283	73.8	17
1.281	74.0	17
1.169	82.5	19

***

# CaHoTm4Se8
Computed XRD peak list, Cu Kα, 1.54184 Å. Input: a DFT-relaxed cell (PBE, Alexandria).
Intensities are scaled so that the largest is 100.

Structure:
a b c (Å): 8.380 8.380 8.380
angles (deg): 59.90 59.90 59.90
Positions (direct):
1 Ca 0.000 0.000 0.000
2 Ho 0.372 0.372 0.372
3 Tm 0.373 0.373 0.881
4 Tm 0.373 0.881 0.373
5 Tm 0.749 0.749 0.749
6 Tm 0.881 0.373 0.373
7 Se 0.134 0.134 0.594
8 Se 0.134 0.594 0.134
9 Se 0.135 0.135 0.135
10 Se 0.147 0.618 0.618
11 Se 0.594 0.134 0.134
12 Se 0.617 0.617 0.617
13 Se 0.618 0.147 0.618
14 Se 0.618 0.618 0.147

Peak list (10 most intense, 2θ from 10° to 90°, by angle)
d_spacing	two_theta	I (rel.)
6.837	12.9	37
4.187	21.2	14
3.570	24.9	87
2.960	30.2	71
2.279	39.5	49
2.093	43.2	100
1.708	53.7	13
1.541	60.0	14
1.480	62.8	16
1.208	79.3	23

***

Please write out number 2 again, unchanged.
# Ca3YHo3S8
Computed XRD peak list, Cu Kα, 1.54184 Å. Input: a DFT-relaxed cell (PBE, Alexandria).
Intensities are scaled so that the largest is 100.

Structure:
a b c (Å): 7.956 7.956 7.956
angles (deg): 59.14 59.14 59.14
Positions (direct):
1 Ca 0.000 0.500 0.500
2 Ca 0.500 0.000 0.500
3 Ca 0.500 0.500 0.000
4 Y 0.500 0.500 0.500
5 Ho 0.000 0.000 0.500
6 Ho 0.000 0.500 0.000
7 Ho 0.500 0.000 0.000
8 S 0.246 0.746 0.746
9 S 0.247 0.247 0.247
10 S 0.254 0.254 0.754
11 S 0.254 0.754 0.254
12 S 0.746 0.246 0.746
13 S 0.746 0.746 0.246
14 S 0.753 0.753 0.753
15 S 0.754 0.254 0.254

Peak list (10 most intense, 2θ from 10° to 90°, by angle)
d_spacing	two_theta	I (rel.)
6.539	13.5	59
3.350	26.6	33
3.213	27.8	29
2.794	32.0	100
2.569	34.9	15
1.989	45.6	36
1.963	46.2	34
1.880	48.4	15
1.606	57.4	18
1.256	75.7	15